(1)
This entry pairs a crystal structure of MgMo3 with its theoretical XRD peak list. Radiation: Cu Kα (weighted mean of Kα1 and Kα2). Structure: a PBE-relaxed structure.
Kinematic intensities with the Lorentz-polarization factor, no thermal factor.

Largest 12 diffraction maxima, most intense first, 2θ from 10° to 80°:
39.44°, I 100
40.58°, I 92
72.29°, I 32
19.42°, I 32
57.87°, I 31
71.52°, I 16
74.60°, I 15
33.98°, I 8
35.27°, I 7
45.37°, I 7
53.02°, I 4
53.93°, I 4

abc: 5.352 5.352 5.352
angles: 117.26 117.26 117.26
Fractional coordinates of all 4 atoms:
Mg1 0.000 0.000 0.000
Mo1 0.000 0.500 0.500
Mo2 0.500 0.000 0.500
Mo3 0.500 0.500 0.000

(2)
This entry pairs a crystal structure of K4PrU3S12 with its theoretical XRD peak list. Radiation: Cu Kα (weighted mean of Kα1 and Kα2). Structure: a PBE-relaxed structure.
Kinematic intensities with the Lorentz-polarization factor, no thermal factor.

Largest 12 diffraction maxima, most intense first, 2θ from 10° to 80°:
23.97°, I 100
16.89°, I 98
34.16°, I 54
38.34°, I 52
42.16°, I 46
49.08°, I 37
52.28°, I 27
66.66°, I 25
55.34°, I 22
74.52°, I 16
61.15°, I 13
63.94°, I 12

abc: 9.093 9.093 9.093
angles: 109.47 109.47 109.47
Fractional coordinates of all 20 atoms:
K1 0.000 0.000 0.500
K2 0.000 0.500 0.000
K3 0.500 0.000 0.000
K4 0.500 0.500 0.500
Pr1 0.000 0.000 0.000
U1 0.000 0.500 0.500
U2 0.500 0.000 0.500
U3 0.500 0.500 0.000
S1 0.000 0.264 0.264
S2 0.000 0.736 0.736
S3 0.250 0.500 0.750
S4 0.250 0.750 0.500
S5 0.264 0.000 0.264
S6 0.264 0.264 0.000
S7 0.500 0.250 0.750
S8 0.500 0.750 0.250
S9 0.736 0.000 0.736
S10 0.736 0.736 0.000
S11 0.750 0.250 0.500
S12 0.750 0.500 0.250

(3)
This entry pairs a crystal structure of CePmIn2 with its theoretical XRD peak list. Radiation: Cu Kα (weighted mean of Kα1 and Kα2). Structure: a PBE-relaxed structure.
Kinematic intensities with the Lorentz-polarization factor, no thermal factor.

Largest 12 diffraction maxima, most intense first, 2θ from 10° to 80°:
32.22°, I 100
36.26°, I 36
62.69°, I 29
54.72°, I 22
39.54°, I 14
52.21°, I 13
67.15°, I 12
67.42°, I 12
76.97°, I 4
25.42°, I 1
19.48°, I 1
41.48°, I 1

abc: 3.504 3.504 9.116
angles: 90.00 90.00 90.00
Fractional coordinates of all 4 atoms:
Ce1 0.000 0.000 0.000
Pm1 0.000 0.000 0.500
In1 0.500 0.500 0.251
In2 0.500 0.500 0.749

(4)
This entry pairs a crystal structure of HfSc3N3 with its theoretical XRD peak list. Radiation: Cu Kα (weighted mean of Kα1 and Kα2). Structure: a PBE-relaxed structure.
Kinematic intensities with the Lorentz-polarization factor, no thermal factor.

Largest 12 diffraction maxima, most intense first, 2θ from 10° to 80°:
34.26°, I 100
23.95°, I 72
27.95°, I 50
49.45°, I 38
42.35°, I 32
65.01°, I 31
24.14°, I 29
39.44°, I 25
13.87°, I 25
49.03°, I 19
61.54°, I 19
55.66°, I 15

abc: 7.373 7.373 4.570
angles: 90.00 90.00 120.01
Fractional coordinates of all 14 atoms:
Hf1 0.167 0.833 0.750
Hf2 0.833 0.167 0.250
Sc1 0.166 0.333 0.750
Sc2 0.333 0.166 0.250
Sc3 0.333 0.667 0.250
Sc4 0.667 0.333 0.750
Sc5 0.667 0.834 0.750
Sc6 0.834 0.667 0.250
N1 0.165 0.332 0.250
N2 0.332 0.165 0.750
N3 0.333 0.667 0.750
N4 0.667 0.333 0.250
N5 0.668 0.835 0.250
N6 0.835 0.668 0.750

(5)
This entry pairs a crystal structure of Zr2Sc2Tl with its theoretical XRD peak list. Radiation: Cu Kα (weighted mean of Kα1 and Kα2). Structure: a PBE-relaxed structure.
Kinematic intensities with the Lorentz-polarization factor, no thermal factor.

Largest 12 diffraction maxima, most intense first, 2θ from 10° to 80°:
33.88°, I 100
34.55°, I 93
20.83°, I 45
40.80°, I 42
39.11°, I 33
39.22°, I 33
22.18°, I 29
27.59°, I 23
57.79°, I 22
57.87°, I 20
55.67°, I 18
67.14°, I 13

abc: 8.474 8.474 3.301
angles: 101.08 101.08 30.26
Fractional coordinates of all 5 atoms:
Zr1 0.207 0.207 0.207
Zr2 0.793 0.793 0.793
Sc1 0.400 0.400 0.399
Sc2 0.600 0.600 0.601
Tl1 0.000 0.000 0.000

(6)
This entry pairs a crystal structure of La2Sm4Th with its theoretical XRD peak list. Radiation: Cu Kα (weighted mean of Kα1 and Kα2). Structure: a PBE-relaxed structure.
Kinematic intensities with the Lorentz-polarization factor, no thermal factor.

Largest 12 diffraction maxima, most intense first, 2θ from 10° to 80°:
30.78°, I 100
35.59°, I 85
29.46°, I 60
26.87°, I 57
40.29°, I 39
62.43°, I 27
53.10°, I 23
56.32°, I 23
63.09°, I 21
54.41°, I 17
78.22°, I 15
61.68°, I 15

abc: 11.972 11.972 3.464
angles: 90.00 90.00 150.66
Fractional coordinates of all 7 atoms:
La1 0.215 0.785 0.000
La2 0.785 0.215 0.000
Sm1 0.075 0.925 0.500
Sm2 0.368 0.632 0.000
Sm3 0.632 0.368 0.000
Sm4 0.925 0.075 0.500
Th1 0.500 0.500 0.500

(7)
This entry pairs a crystal structure of Er5BiAs4 with its theoretical XRD peak list. Radiation: Cu Kα (weighted mean of Kα1 and Kα2). Structure: a PBE-relaxed structure.
Kinematic intensities with the Lorentz-polarization factor, no thermal factor.

Largest 12 diffraction maxima, most intense first, 2θ from 10° to 80°:
30.44°, I 100
43.64°, I 25
43.49°, I 24
54.33°, I 13
43.91°, I 13
43.33°, I 12
71.85°, I 11
63.39°, I 8
53.97°, I 6
26.38°, I 6
53.72°, I 6
72.37°, I 6

abc: 7.210 7.210 10.238
angles: 118.37 118.37 33.24
Fractional coordinates of all 10 atoms:
Er1 0.000 0.000 0.000
Er2 0.206 0.206 0.814
Er3 0.391 0.391 0.610
Er4 0.609 0.609 0.390
Er5 0.794 0.794 0.186
Bi1 0.000 0.000 0.500
As1 0.203 0.203 0.295
As2 0.403 0.403 0.101
As3 0.597 0.597 0.899
As4 0.797 0.797 0.705

(8)
This entry pairs a crystal structure of PmPaNi2 with its theoretical XRD peak list. Radiation: Cu Kα (weighted mean of Kα1 and Kα2). Structure: a PBE-relaxed structure.
Kinematic intensities with the Lorentz-polarization factor, no thermal factor.

Largest 12 diffraction maxima, most intense first, 2θ from 10° to 80°:
37.72°, I 100
26.76°, I 33
33.86°, I 22
42.16°, I 22
26.09°, I 19
40.03°, I 18
15.44°, I 14
74.13°, I 14
55.13°, I 11
31.17°, I 10
75.12°, I 10
53.68°, I 9

abc: 6.292 4.287 6.310
angles: 90.00 114.36 90.00
Fractional coordinates of all 8 atoms:
Pm1 0.113 0.250 0.385
Pm2 0.887 0.750 0.615
Pa1 0.404 0.750 0.097
Pa2 0.596 0.250 0.903
Ni1 0.113 0.250 0.945
Ni2 0.444 0.750 0.613
Ni3 0.556 0.250 0.387
Ni4 0.887 0.750 0.055

(9)
This entry pairs a crystal structure of Ac2NpIn3Te6 with its theoretical XRD peak list. Radiation: Cu Kα (weighted mean of Kα1 and Kα2). Structure: a PBE-relaxed structure.
Kinematic intensities with the Lorentz-polarization factor, no thermal factor.

Largest 12 diffraction maxima, most intense first, 2θ from 10° to 80°:
26.44°, I 100
37.01°, I 40
38.45°, I 37
47.26°, I 20
60.49°, I 18
62.50°, I 17
10.94°, I 13
54.43°, I 13
68.60°, I 12
44.82°, I 8
65.73°, I 6
69.54°, I 6

abc: 8.109 8.109 8.528
angles: 99.12 99.12 119.95
Fractional coordinates of all 12 atoms:
Ac1 0.166 0.834 0.000
Ac2 0.834 0.166 0.000
Np1 0.500 0.500 0.000
In1 0.000 0.000 0.500
In2 0.332 0.668 0.500
In3 0.668 0.332 0.500
Te1 0.106 0.424 0.772
Te2 0.259 0.259 0.232
Te3 0.424 0.106 0.772
Te4 0.576 0.894 0.228
Te5 0.741 0.741 0.768
Te6 0.894 0.576 0.228

(10)
This entry pairs a crystal structure of La4Tb2Pm2Tm with its theoretical XRD peak list. Radiation: Cu Kα (weighted mean of Kα1 and Kα2). Structure: a PBE-relaxed structure.
Kinematic intensities with the Lorentz-polarization factor, no thermal factor.

Largest 12 diffraction maxima, most intense first, 2θ from 10° to 80°:
29.95°, I 100
34.64°, I 34
49.82°, I 18
34.86°, I 17
59.16°, I 15
59.26°, I 14
49.97°, I 12
59.42°, I 7
59.57°, I 7
62.13°, I 6
62.33°, I 6
50.07°, I 6

abc: 8.190 8.190 8.155
angles: 107.77 107.77 36.85
Fractional coordinates of all 9 atoms:
La1 0.054 0.054 0.331
La2 0.277 0.277 0.668
La3 0.723 0.723 0.332
La4 0.946 0.946 0.669
Tb1 0.389 0.389 0.329
Tb2 0.611 0.611 0.671
Pm1 0.166 0.166 0.000
Pm2 0.834 0.834 0.000
Tm1 0.500 0.500 0.000

(11)
This entry pairs a crystal structure of Ac4La3DyTe8 with its theoretical XRD peak list. Radiation: Cu Kα (weighted mean of Kα1 and Kα2). Structure: a PBE-relaxed structure.
Kinematic intensities with the Lorentz-polarization factor, no thermal factor.

Largest 12 diffraction maxima, most intense first, 2θ from 10° to 80°:
27.23°, I 100
39.02°, I 39
38.77°, I 39
48.24°, I 21
63.71°, I 18
63.35°, I 18
70.52°, I 13
56.18°, I 13
47.81°, I 7
70.69°, I 7
70.01°, I 6
23.58°, I 5

abc: 9.291 9.291 9.291
angles: 59.59 59.59 59.59
Fractional coordinates of all 16 atoms:
Ac1 0.000 0.000 0.000
Ac2 0.000 0.500 0.500
Ac3 0.500 0.000 0.500
Ac4 0.500 0.500 0.000
La1 0.000 0.000 0.500
La2 0.000 0.500 0.000
La3 0.500 0.000 0.000
Dy1 0.500 0.500 0.500
Te1 0.247 0.247 0.247
Te2 0.253 0.740 0.740
Te3 0.260 0.260 0.747
Te4 0.260 0.747 0.260
Te5 0.740 0.253 0.740
Te6 0.740 0.740 0.253
Te7 0.747 0.260 0.260
Te8 0.753 0.753 0.753

(12)
This entry pairs a crystal structure of Ca3La3B5O15 with its theoretical XRD peak list. Radiation: Cu Kα (weighted mean of Kα1 and Kα2). Structure: a PBE-relaxed structure.
Kinematic intensities with the Lorentz-polarization factor, no thermal factor.

Largest 12 diffraction maxima, most intense first, 2θ from 10° to 80°:
23.80°, I 100
29.22°, I 72
16.76°, I 68
33.82°, I 61
33.99°, I 57
41.77°, I 56
44.25°, I 35
46.68°, I 34
54.79°, I 30
27.68°, I 22
51.76°, I 20
48.70°, I 18

abc: 10.602 10.602 6.445
angles: 90.00 90.00 120.00
Fractional coordinates of all 52 atoms:
Ca1 0.054 0.527 0.000
Ca2 0.473 0.527 0.000
Ca3 0.473 0.946 0.000
Ca4 0.527 0.054 0.500
Ca5 0.527 0.473 0.500
Ca6 0.946 0.473 0.500
La1 0.156 0.311 0.685
La2 0.156 0.844 0.685
La3 0.311 0.156 0.185
La4 0.689 0.844 0.685
La5 0.844 0.156 0.185
La6 0.844 0.689 0.185
B1 0.000 0.000 0.018
B2 0.000 0.000 0.518
B3 0.198 0.396 0.216
B4 0.198 0.802 0.216
B5 0.333 0.667 0.666
B6 0.396 0.198 0.716
B7 0.604 0.802 0.216
B8 0.667 0.333 0.166
B9 0.802 0.198 0.716
B10 0.802 0.604 0.716
O1 0.072 0.372 0.318
O2 0.072 0.700 0.318
O3 0.075 0.151 0.025
O4 0.075 0.925 0.025
O5 0.151 0.075 0.525
O6 0.181 0.590 0.667
O7 0.226 0.452 0.019
O8 0.226 0.774 0.019
O9 0.300 0.372 0.318
O10 0.300 0.928 0.318
O11 0.372 0.072 0.818
O12 0.372 0.300 0.818
O13 0.410 0.590 0.667
O14 0.410 0.819 0.667
O15 0.452 0.226 0.519
O16 0.548 0.774 0.019
O17 0.590 0.181 0.167
O18 0.590 0.410 0.167
O19 0.628 0.700 0.318
O20 0.628 0.928 0.318
O21 0.700 0.072 0.818
O22 0.700 0.628 0.818
O23 0.774 0.226 0.519
O24 0.774 0.548 0.519
O25 0.819 0.410 0.167
O26 0.849 0.925 0.025
O27 0.925 0.075 0.525
O28 0.925 0.849 0.525
O29 0.928 0.300 0.818
O30 0.928 0.628 0.818